1.
For Mg12Cd3Ga, DFT lattice parameters and positions (GGA-PBE) gives the simulated X-ray diffraction stick pattern in this record (Cu Kα).

Cell and atoms:
a b c (Å): 4.499 4.499 17.109
angles (deg): 90.00 90.00 90.00
Space group P4/mmm (No. 123)
Symmetry-distinct sites (fractional):
Mg 0.000 0.000 0.000 (multiplicity 1)
Mg 0.000 0.000 0.248 (multiplicity 2)
Mg 0.000 0.000 0.500 (multiplicity 1)
Mg 0.000 0.500 0.120 (multiplicity 4)
Mg 0.000 0.500 0.375 (multiplicity 4)
Cd 0.500 0.500 0.248 (multiplicity 2)
Cd 0.500 0.500 0.500 (multiplicity 1)
Ga 0.500 0.500 0.000 (multiplicity 1)

Most intense lines, 10 to 90 degrees two-theta, most intense first:
- 35.16°, rel. 100, (1 1 4)
- 19.73°, rel. 40, (1 0 0)
- 40.09°, rel. 35, (2 0 0)
- 28.80°, rel. 32, (1 0 4)
- 69.65°, rel. 25, (3 1 4)
- 59.66°, rel. 20, (2 0 8)
- 20.77°, rel. 18, (0 0 4)
- 28.05°, rel. 17, (1 1 0)
- 42.26°, rel. 15, (0 0 8)
- 50.11°, rel. 13, (2 1 4)


2.
For DyScZn6, DFT lattice parameters and positions (GGA-PBE) gives the simulated X-ray diffraction stick pattern in this record (Cu Kα).

Cell and atoms:
a b c (Å): 4.257 5.738 5.878
angles (deg): 90.00 90.00 90.00
Space group Pmm2 (No. 25)
Symmetry-distinct sites (fractional):
Dy 0.000 0.000 0.000 (multiplicity 1)
Sc 0.500 0.500 0.197 (multiplicity 1)
Zn 0.000 0.260 0.461 (multiplicity 2)
Zn 0.000 0.500 0.854 (multiplicity 1)
Zn 0.500 0.000 0.365 (multiplicity 1)
Zn 0.500 0.261 0.734 (multiplicity 2)

Most intense lines, 10 to 90 degrees two-theta, most intense first:
- 40.92°, rel. 100, (1 2 1)
- 37.18°, rel. 61, (1 0 2)
- 34.79°, rel. 42, (0 2 1)
- 42.47°, rel. 38, (2 0 0)
- 30.24°, rel. 34, (1 1 1)
- 40.47°, rel. 21, (1 1 2)
- 56.02°, rel. 20, (2 2 1)
- 34.28°, rel. 15, (0 1 2)
- 76.64°, rel. 15, (3 2 1)
- 49.14°, rel. 14, (0 1 3)


3.
For Tm5Zn2Pd, DFT lattice parameters and positions (GGA-PBE) gives the simulated X-ray diffraction stick pattern in this record (Cu Kα).

Cell and atoms:
a b c (Å): 7.143 7.143 15.096
angles (deg): 90.00 90.00 90.00
Space group I4/mcm (No. 140)
Symmetry-distinct sites (fractional):
Tm 0.000 0.000 0.000 (multiplicity 4)
Tm 0.170 0.330 0.153 (multiplicity 16)
Zn 0.123 0.377 0.500 (multiplicity 8)
Pd 0.000 0.000 0.250 (multiplicity 4)

Most intense lines, 10 to 90 degrees two-theta, most intense first:
- 33.22°, rel. 100, (2 1 3)
- 34.58°, rel. 41, (2 0 4)
- 39.91°, rel. 40, (3 1 0)
- 29.55°, rel. 21, (1 1 4)
- 35.68°, rel. 19, (0 0 6)
- 56.15°, rel. 17, (4 1 3)
- 54.58°, rel. 16, (3 3 0)
- 28.56°, rel. 15, (2 1 1)
- 60.18°, rel. 14, (3 3 4)
- 35.55°, rel. 13, (2 2 0)


4.
For LiSc2Cu, DFT lattice parameters and positions (GGA-PBE) gives the simulated X-ray diffraction stick pattern in this record (Cu Kα).

Cell and atoms:
a b c (Å): 10.305 3.204 4.841
angles (deg): 90.00 109.21 90.00
Space group Cm (No. 8)
Symmetry-distinct sites (fractional):
Li 0.000 0.000 0.000 (multiplicity 2)
Sc 0.064 0.500 0.562 (multiplicity 2)
Sc 0.276 0.500 0.216 (multiplicity 2)
Cu 0.295 0.000 0.727 (multiplicity 2)

Most intense lines, 10 to 90 degrees two-theta, most intense first:
- 37.13°, rel. 100, (1 1 1)
- 39.90°, rel. 87, (3 1 -1)
- 18.23°, rel. 57, (2 0 0)
- 36.95°, rel. 48, (4 0 0)
- 37.57°, rel. 47, (2 0 -2)
- 19.42°, rel. 34, (0 0 1)
- 33.66°, rel. 28, (1 1 -1)
- 70.38°, rel. 23, (4 2 0)
- 29.35°, rel. 19, (1 1 0)
- 39.42°, rel. 17, (0 0 2)


5.
For Ca2Ac15Tm2, DFT lattice parameters and positions (GGA-PBE) gives the simulated X-ray diffraction stick pattern in this record (Cu Kα).

Cell and atoms:
a b c (Å): 12.5950 12.5950 19.1976
angles (deg): 90.00 90.00 120.00
Space group R-3m (No. 166, hexagonal axes)
Symmetry-distinct sites (fractional):
Ca 0.0000 0.0000 0.1775 (multiplicity 6)
Ac 0.0000 0.2929 0.5000 (multiplicity 18)
Ac 0.0000 0.5000 0.0000 (multiplicity 9)
Ac 0.0006 0.5003 0.6431 (multiplicity 18)
Tm 0.0000 0.0000 0.4089 (multiplicity 6)

Most intense lines, 10 to 90 degrees two-theta, most intense first:
- 31.67°, rel. 100, (2 2 3)
- 28.38°, rel. 73, (2 2 0)
- 28.23°, rel. 72, (0 3 3)
- 14.06°, rel. 43, (1 1 0)
- 31.36°, rel. 34, (1 1 6)
- 50.20°, rel. 32, (6 0 0)
- 27.88°, rel. 27, (0 0 6)
- 24.71°, rel. 20, (0 2 4)
- 47.62°, rel. 14, (4 1 6)
- 49.55°, rel. 14, (0 3 9)


6.
For Be2TlAgBr6, DFT lattice parameters and positions (GGA-PBE) gives the simulated X-ray diffraction stick pattern in this record (Cu Kα).

Cell and atoms:
a b c (Å): 14.590 14.932 6.385
angles (deg): 90.00 111.27 90.00
Space group C2/c (No. 15)
Symmetry-distinct sites (fractional):
Be 0.245 0.076 0.318 (multiplicity 8)
Tl 0.000 0.067 0.750 (multiplicity 4)
Ag 0.000 0.493 0.250 (multiplicity 4)
Br 0.103 0.381 0.596 (multiplicity 8)
Br 0.143 0.178 0.146 (multiplicity 8)
Br 0.218 0.057 0.652 (multiplicity 8)

Most intense lines, 10 to 90 degrees two-theta, most intense first:
- 11.85°, rel. 100, (0 2 0)
- 25.66°, rel. 79, (1 3 1)
- 27.77°, rel. 72, (4 2 -1)
- 28.22°, rel. 64, (0 4 1)
- 19.83°, rel. 53, (2 2 -1)
- 28.86°, rel. 53, (4 2 0)
- 37.12°, rel. 39, (2 0 2)
- 30.01°, rel. 28, (0 0 2)
- 33.49°, rel. 26, (5 1 0)
- 32.00°, rel. 25, (4 0 -2)